The following is a computed powder XRD pattern of V3O2F6. It was derived from a DFT-relaxed cell (GGA+U, Alexandria), using Cu Kα.
Kinematic intensities with the Lorentz-polarization factor, no thermal factor.

The 10 most intense peaks (5° ≤ 2θ ≤ 70°), in order of falling intensity:
2θ (°)	I/Imax	h k l
26.84	100	1 1 -1
16.13	26	0 1 0
34.65	23	0 0 4
17.14	20	0 0 2
53.40	17	1 3 1
52.75	16	1 1 -5
52.49	15	1 -1 5
39.58	15	1 0 4
39.78	14	1 0 -4
55.42	12	2 2 -2

Structure:
```
data_V3O2F6
_chemical_formula_sum 'V6 O4 F12'
_cell_length_a 4.754
_cell_length_b 5.531
_cell_length_c 10.410
_cell_angle_alpha 83.57
_cell_angle_beta 89.60
_cell_angle_gamma 89.98
_space_group_name_H-M_alt 'P -1'
_space_group_IT_number 2
_space_group_name_Hall '-P 1'
loop_
_atom_site_label
_atom_site_fract_x
_atom_site_fract_y
_atom_site_fract_z
_atom_site_occupancy
V1 0.000 0.000 0.000 1
V2 0.015 0.760 0.743 1
V3 0.477 0.775 0.246 1
V4 0.500 0.000 0.500 1
O1 0.202 0.965 0.177 1
O2 0.315 0.981 0.676 1
F1 0.164 0.725 0.923 1
F2 0.187 0.202 0.424 1
F3 0.236 0.470 0.697 1
F4 0.283 0.477 0.193 1
F5 0.310 0.197 0.919 1
F6 0.321 0.719 0.419 1
```